# 1
This entry pairs a crystal structure of Al5Ni3 with its computed powder XRD pattern. Radiation: Cu Kα. Structure: a crystal structure in Alexandria, relaxed with PBE.
Peak positions follow from Bragg's law for the DFT cell and can differ from measured ones.

Peak list (12 most intense, 5° ≤ 2θ ≤ 70°, by intensity)
Position (°2θ), I (rel.)
43.23, 100
44.19, 71
31.01, 54
44.67, 48
35.58, 39
57.58, 38
14.56, 32
69.19, 23
25.35, 21
46.77, 20
39.17, 14
55.38, 11

Atomic structure:
Cell: 7.0268 7.0268 5.0468 Å, 90.00 90.00 120.00°
Atoms (fractional coordinates):
Al1 0.0000 0.2514 0.2500
Al2 0.0000 0.7486 0.7500
Al3 0.2514 0.0000 0.2500
Al4 0.2514 0.2514 0.7500
Al5 0.3333 0.6667 0.0000
Al6 0.3333 0.6667 0.5000
Al7 0.6667 0.3333 0.0000
Al8 0.6667 0.3333 0.5000
Al9 0.7486 0.0000 0.7500
Al10 0.7486 0.7486 0.2500
Ni1 0.0000 0.3951 0.7500
Ni2 0.0000 0.6049 0.2500
Ni3 0.3951 0.0000 0.7500
Ni4 0.3951 0.3951 0.2500
Ni5 0.6049 0.0000 0.2500
Ni6 0.6049 0.6049 0.7500

---

# 2
This entry pairs a crystal structure of Al4Ni15 with its computed powder XRD pattern. Radiation: Cu Kα. Structure: a crystal structure in Alexandria, relaxed with PBE.
Peak positions follow from Bragg's law for the DFT cell and can differ from measured ones.

Peak list (12 most intense, 5° ≤ 2θ ≤ 70°, by intensity)
Position (°2θ), I (rel.)
44.43, 100
51.24, 34
52.84, 13
24.97, 10
36.14, 8
25.71, 4
35.60, 4
64.31, 3
41.44, 3
47.21, 2
57.82, 2
58.19, 2

Atomic structure:
Cell: 3.5660 3.5660 17.3265 Å, 90.00 90.00 90.00°
Atoms (fractional coordinates):
Al1 0.0000 0.0000 0.1024
Al2 0.0000 0.0000 0.3085
Al3 0.0000 0.0000 0.6915
Al4 0.0000 0.0000 0.8976
Ni1 0.0000 0.5000 0.0000
Ni2 0.0000 0.5000 0.2055
Ni3 0.0000 0.5000 0.4107
Ni4 0.0000 0.5000 0.5893
Ni5 0.0000 0.5000 0.7945
Ni6 0.5000 0.0000 0.0000
Ni7 0.5000 0.0000 0.2055
Ni8 0.5000 0.0000 0.4107
Ni9 0.5000 0.0000 0.5893
Ni10 0.5000 0.0000 0.7945
Ni11 0.5000 0.5000 0.1028
Ni12 0.5000 0.5000 0.3079
Ni13 0.5000 0.5000 0.5000
Ni14 0.5000 0.5000 0.6921
Ni15 0.5000 0.5000 0.8972

---

# 3
This entry pairs a crystal structure of Al2Ni with its computed powder XRD pattern. Radiation: Cu Kα. Structure: a crystal structure in Alexandria, relaxed with PBE.
Peak positions follow from Bragg's law for the DFT cell and can differ from measured ones.

Peak list (12 most intense, 5° ≤ 2θ ≤ 70°, by intensity)
Position (°2θ), I (rel.)
45.05, 100
44.36, 96
42.41, 63
35.57, 55
22.55, 51
44.21, 30
46.05, 29
46.49, 29
24.93, 26
18.80, 26
36.42, 20
58.65, 19

Atomic structure:
Cell: 4.9541 4.9541 6.1782 Å, 95.60 95.60 33.47°
Atoms (fractional coordinates):
Al1 0.0000 0.0000 0.0000
Al2 0.1112 0.1112 0.5661
Al3 0.7223 0.7223 0.2103
Al4 0.8495 0.8495 0.6175
Ni1 0.2725 0.2725 0.9097
Ni2 0.4474 0.4474 0.3180

---

# 4
This entry pairs a crystal structure of Al4Ni3 with its computed powder XRD pattern. Radiation: Cu Kα. Structure: a crystal structure in Alexandria, relaxed with PBE.
Peak positions follow from Bragg's law for the DFT cell and can differ from measured ones.

Peak list (12 most intense, 5° ≤ 2θ ≤ 70°, by intensity)
Position (°2θ), I (rel.)
44.92, 100
19.04, 26
65.40, 15
29.27, 14
43.42, 13
31.34, 12
49.20, 8
59.51, 3
55.79, 3
68.81, 2
64.25, 2
36.93, 1

Atomic structure:
Cell: 9.8862 9.8862 9.8862 Å, 109.47 109.47 109.47°
Atoms (fractional coordinates):
Al1 0.0000 0.0000 0.0000
Al2 0.0000 0.0000 0.5000
Al3 0.0000 0.5000 0.0000
Al4 0.0000 0.5000 0.5000
Al5 0.0088 0.2500 0.2588
Al6 0.0088 0.2588 0.7500
Al7 0.2412 0.2500 0.4912
Al8 0.2412 0.4912 0.7500
Al9 0.2500 0.2588 0.0088
Al10 0.2500 0.4912 0.2412
Al11 0.2500 0.7588 0.5088
Al12 0.2500 0.9912 0.7412
Al13 0.2588 0.0088 0.2500
Al14 0.2588 0.7500 0.0088
Al15 0.4912 0.2412 0.2500
Al16 0.4912 0.7500 0.2412
Al17 0.5000 0.0000 0.0000
Al18 0.5000 0.0000 0.5000
Al19 0.5000 0.5000 0.0000
Al20 0.5000 0.5000 0.5000
Al21 0.5088 0.2500 0.7588
Al22 0.5088 0.7588 0.7500
Al23 0.7412 0.2500 0.9912
Al24 0.7412 0.9912 0.7500
Al25 0.7500 0.0088 0.2588
Al26 0.7500 0.2412 0.4912
Al27 0.7500 0.5088 0.7588
Al28 0.7500 0.7412 0.9912
Al29 0.7588 0.5088 0.2500
Al30 0.7588 0.7500 0.5088
Al31 0.9912 0.7412 0.2500
Al32 0.9912 0.7500 0.7412
Ni1 0.0063 0.0125 0.7563
Ni2 0.0063 0.4937 0.2500
Ni3 0.0125 0.7563 0.0063
Ni4 0.2437 0.7500 0.2563
Ni5 0.2437 0.9937 0.9875
Ni6 0.2500 0.0063 0.4937
Ni7 0.2500 0.7437 0.7563
Ni8 0.2563 0.2437 0.7500
Ni9 0.2563 0.5125 0.5063
Ni10 0.4875 0.4937 0.7437
Ni11 0.4937 0.2500 0.0063
Ni12 0.4937 0.7437 0.4875
Ni13 0.5063 0.2563 0.5125
Ni14 0.5063 0.7500 0.9937
Ni15 0.5125 0.5063 0.2563
Ni16 0.7437 0.4875 0.4937
Ni17 0.7437 0.7563 0.2500
Ni18 0.7500 0.2563 0.2437
Ni19 0.7500 0.9937 0.5063
Ni20 0.7563 0.0063 0.0125
Ni21 0.7563 0.2500 0.7437
Ni22 0.9875 0.2437 0.9937
Ni23 0.9937 0.5063 0.7500
Ni24 0.9937 0.9875 0.2437